Theoretical X-ray diffraction stick pattern of Y2BeAlBO7 for Cu Ka, from the GGA-PBE geometry in the Materials Project.

Peak list (10 most intense, 10 to 90 degrees two-theta, low angle first)
d_spacing  I/Imax  h k l
6.024  68.6  0 1 1
5.965  34.1  1 0 1
4.673  51.9  1 1 1
3.760  58.5  0 2 0
3.322  43.3  2 1 0
3.154  45.0  2 1 1
3.057  100.0  1 0 3
2.638  83.4  2 2 0
2.372  95.5  1 2 3
2.021  36.8  3 2 1

Crystal structure
Unit cell a=7.4050 b=7.5196 c=10.0648 alpha=90.00 beta=90.00 gamma=90.00
Sites, in units of the cell vectors:
Y (0.0018, 0.2259, 0.2309)
Y (0.0718, 0.7817, 0.6052)
Y (0.4282, 0.2183, 0.1052)
Y (0.4982, 0.7741, 0.7309)
Y (0.5018, 0.2741, 0.7691)
Y (0.5718, 0.7183, 0.3948)
Y (0.9282, 0.2817, 0.8948)
Y (0.9982, 0.7259, 0.2691)
Be (0.0837, 0.6413, 0.8862)
Be (0.4163, 0.3587, 0.3862)
Be (0.5837, 0.8587, 0.1138)
Be (0.9163, 0.1413, 0.6138)
Al (0.2353, 0.9211, 0.9873)
Al (0.2647, 0.0789, 0.4873)
Al (0.7353, 0.5789, 0.0127)
Al (0.7647, 0.4211, 0.5127)
B (0.1753, 0.5303, 0.0602)
B (0.3247, 0.4697, 0.5602)
B (0.6753, 0.9697, 0.9398)
B (0.8247, 0.0303, 0.4398)
O (0.0855, 0.0936, 0.0489)
O (0.1085, 0.7088, 0.0545)
O (0.1159, 0.0884, 0.6372)
O (0.1202, 0.9118, 0.4033)
O (0.1911, 0.4526, 0.9362)
O (0.1994, 0.8011, 0.8277)
O (0.2241, 0.4569, 0.1770)
O (0.2759, 0.5431, 0.6770)
O (0.3006, 0.1989, 0.3277)
O (0.3089, 0.5474, 0.4362)
O (0.3798, 0.0882, 0.9033)
O (0.3841, 0.9116, 0.1372)
O (0.3915, 0.2912, 0.5545)
O (0.4145, 0.9064, 0.5489)
O (0.5855, 0.4064, 0.9511)
O (0.6085, 0.7912, 0.9455)
O (0.6159, 0.4116, 0.3628)
O (0.6202, 0.5882, 0.5967)
O (0.6911, 0.0474, 0.0638)
O (0.6994, 0.6989, 0.1723)
O (0.7241, 0.0431, 0.8230)
O (0.7759, 0.9569, 0.3230)
O (0.8006, 0.3011, 0.6723)
O (0.8089, 0.9526, 0.5638)
O (0.8798, 0.4118, 0.0967)
O (0.8841, 0.5884, 0.8628)
O (0.8915, 0.2088, 0.4455)
O (0.9145, 0.5936, 0.4511)

=====

Theoretical X-ray diffraction stick pattern of Y2BeAlBO7 for Cu Ka, from the GGA-PBE geometry in the Materials Project.

Peak list (10 most intense, 10 to 90 degrees two-theta, low angle first)
d_spacing  I/Imax  h k l
6.116  67.7  0 1 1
3.979  69.6  0 2 0
3.606  41.3  1 1 2
3.527  56.5  1 2 0
3.429  40.4  2 1 0
3.058  51.2  0 2 2
2.938  69.0  1 0 3
2.748  82.1  2 2 0
2.364  100.0  1 2 3
1.924  53.1  3 1 3

Crystal structure
Unit cell a=7.5985 b=7.9575 c=9.5588 alpha=90.00 beta=90.00 gamma=90.00
Sites, in units of the cell vectors:
Y (0.0369, 0.2430, 0.2411)
Y (0.0617, 0.2117, 0.8904)
Y (0.4383, 0.7883, 0.3904)
Y (0.4631, 0.7570, 0.7411)
Y (0.5369, 0.2570, 0.7589)
Y (0.5617, 0.2883, 0.1096)
Y (0.9383, 0.7117, 0.6096)
Y (0.9631, 0.7430, 0.2589)
Be (0.1139, 0.6614, 0.9011)
Be (0.3861, 0.3386, 0.4011)
Be (0.6139, 0.8386, 0.0989)
Be (0.8861, 0.1614, 0.5989)
Al (0.2091, 0.0538, 0.5251)
Al (0.2909, 0.9462, 0.0251)
Al (0.7091, 0.4462, 0.4749)
Al (0.7909, 0.5538, 0.9749)
B (0.2092, 0.4923, 0.0497)
B (0.2908, 0.5077, 0.5497)
B (0.7092, 0.0077, 0.9503)
B (0.7908, 0.9923, 0.4503)
O (0.0797, 0.1427, 0.6622)
O (0.0908, 0.0404, 0.0878)
O (0.1172, 0.8657, 0.4403)
O (0.1226, 0.6403, 0.0848)
O (0.2058, 0.4657, 0.9055)
O (0.2234, 0.6200, 0.6424)
O (0.2357, 0.8197, 0.8771)
O (0.2643, 0.1803, 0.3771)
O (0.2766, 0.3800, 0.1424)
O (0.2942, 0.5343, 0.4055)
O (0.3774, 0.3597, 0.5848)
O (0.3828, 0.1343, 0.9403)
O (0.4092, 0.9596, 0.5878)
O (0.4203, 0.8573, 0.1622)
O (0.5797, 0.3573, 0.3378)
O (0.5908, 0.4596, 0.9122)
O (0.6172, 0.6343, 0.5597)
O (0.6226, 0.8597, 0.9152)
O (0.7058, 0.0343, 0.0945)
O (0.7234, 0.8800, 0.3577)
O (0.7357, 0.6803, 0.1229)
O (0.7643, 0.3197, 0.6229)
O (0.7766, 0.1200, 0.8576)
O (0.7942, 0.9657, 0.5945)
O (0.8774, 0.1403, 0.4152)
O (0.8828, 0.3657, 0.0597)
O (0.9092, 0.5404, 0.4122)
O (0.9203, 0.6427, 0.8378)